This entry pairs a crystal structure of LaSmNO with its calculated powder diffractogram. Radiation: Cu Kα (λ = 1.5418 Å). Structure: a GGA-PBE-relaxed structure.
Intensities are scaled so that the largest is 100.

Crystal structure
Cell: 3.6171 3.6171 5.1266 Å, 90.00 90.00 90.00°
Element x y z (fractional)
La1 0.0000 0.0000 0.0000
Sm1 0.5000 0.5000 0.5000
N1 0.0000 0.0000 0.5000
O1 0.5000 0.5000 0.0000

Principal peaks in the range 10 to 80 degrees two-theta, sorted by position:
| Position (°2θ) | d/Å | intensity | hkl |
| --- | --- | --- | --- |
| 30.24 | 2.956 | 100.0 | 1 0 1 |
| 35.06 | 2.560 | 78.3 | 1 1 0 |
| 50.42 | 1.810 | 54.2 | 2 0 0 |
| 59.86 | 1.545 | 15.3 | 1 0 3 |
| 59.97 | 1.543 | 30.4 | 2 1 1 |
| 62.89 | 1.478 | 18.2 | 2 0 2 |
| 73.96 | 1.282 | 2.8 | 0 0 4 |
| 74.15 | 1.279 | 5.5 | 2 2 0 |

This entry pairs a crystal structure of SrLaTa2N3O3 with its calculated powder diffractogram. Radiation: Cu Kα (λ = 1.5418 Å). Structure: a GGA-PBE-relaxed structure.
Intensities are scaled so that the largest is 100.

Crystal structure
Cell: 5.6904 5.7001 8.3042 Å, 89.94 89.89 89.02°
Element x y z (fractional)
Sr1 0.0000 0.0000 0.0000
Sr2 0.4990 0.4719 0.5031
La1 0.0079 0.9700 0.5014
La2 0.5057 0.5108 0.0039
Ta1 0.0056 0.4974 0.7586
Ta2 0.4940 0.9802 0.7577
Ta3 0.5065 0.9946 0.2576
Ta4 0.9923 0.4761 0.2590
N1 0.0265 0.4788 0.4914
N2 0.2115 0.7694 0.7558
N3 0.4383 0.0013 0.4910
N4 0.5265 0.9611 0.9918
N5 0.7852 0.1898 0.2611
N6 0.9361 0.4879 0.9903
O1 0.1953 0.7751 0.2277
O2 0.2863 0.2809 0.2107
O3 0.2949 0.2803 0.7724
O4 0.6940 0.6890 0.2641
O5 0.7078 0.6934 0.7188
O6 0.7940 0.1813 0.7191

Principal peaks in the range 10 to 80 degrees two-theta, sorted by position:
| Position (°2θ) | d/Å | intensity | hkl |
| --- | --- | --- | --- |
| 30.80 | 2.903 | 100.0 | 1 1 2 |
| 31.08 | 2.878 | 97.4 | 1 -1 2 |
| 31.42 | 2.847 | 94.4 | 2 0 0 |
| 43.60 | 2.076 | 27.1 | 0 0 4 |
| 44.62 | 2.031 | 23.9 | 2 2 0 |
| 45.43 | 1.996 | 23.1 | 2 -2 0 |
| 54.70 | 1.678 | 31.1 | 2 0 4 |
| 55.35 | 1.660 | 29.7 | 3 1 2 |
| 55.87 | 1.646 | 29.8 | 3 -1 2 |
| 64.79 | 1.439 | 15.0 | 2 -2 4 |

This entry pairs a crystal structure of LaTiNO2 with its calculated powder diffractogram. Radiation: Cu Kα (λ = 1.5418 Å). Structure: a GGA-PBE-relaxed structure.
Intensities are scaled so that the largest is 100.

Crystal structure
Cell: 5.5741 5.6021 8.0309 Å, 90.00 90.50 90.00°
Element x y z (fractional)
La1 0.2484 0.0000 0.2412
La2 0.2481 0.9889 0.7574
La3 0.7519 0.4889 0.2426
La4 0.7516 0.5000 0.7588
Ti1 0.2495 0.4945 0.5142
Ti2 0.2653 0.4952 0.9969
Ti3 0.7347 0.9952 0.0031
Ti4 0.7505 0.9945 0.4858
N1 0.2449 0.5154 0.7462
N2 0.4561 0.7726 0.0160
N3 0.5439 0.2726 0.9840
N4 0.7551 0.0154 0.2538
O1 0.0504 0.1703 0.9842
O2 0.0545 0.7853 0.4819
O3 0.2370 0.4368 0.2518
O4 0.4500 0.1806 0.5174
O5 0.5500 0.6806 0.4826
O6 0.7630 0.9368 0.7482
O7 0.9455 0.2853 0.5181
O8 0.9496 0.6703 0.0158

Principal peaks in the range 10 to 80 degrees two-theta, sorted by position:
| Position (°2θ) | d/Å | intensity | hkl |
| --- | --- | --- | --- |
| 22.14 | 4.015 | 14.3 | 0 0 2 |
| 22.50 | 3.951 | 31.9 | 1 1 0 |
| 31.67 | 2.825 | 63.1 | 1 1 -2 |
| 31.90 | 2.805 | 100.0 | 0 2 0 |
| 32.12 | 2.787 | 34.3 | 2 0 0 |
| 39.21 | 2.298 | 31.1 | 0 2 2 |
| 45.16 | 2.008 | 21.2 | 0 0 4 |
| 45.94 | 1.976 | 37.7 | 2 2 0 |
| 56.76 | 1.622 | 20.8 | 1 3 -2 |
| 56.87 | 1.619 | 27.1 | 3 1 -2 |